[1]
For KBrN4, a cell relaxed with GGA-PBE gives the theoretical powder diffractogram in this record (Cu Kα (weighted mean of Kα1 and Kα2)).

Cell and atoms:
```
data_KBrN4
_symmetry_space_group_name_H-M 'I 41/a'
_symmetry_Int_Tables_number 88
_cell_length_a 4.5668
_cell_length_b 4.5668
_cell_length_c 39.7939
_cell_angle_alpha 90.00
_cell_angle_beta 90.00
_cell_angle_gamma 90.00
loop_
_symmetry_equiv_pos_as_xyz
'x,y,z'
'-x,-y,-z'
'-y+3/4,x+1/4,z+1/4'
'y+3/4,-x+1/4,-z+1/4'
'-x+1/2,-y,z+1/2'
'x+1/2,y,-z+1/2'
'y+3/4,-x+3/4,z+3/4'
'-y+3/4,x+3/4,-z+3/4'
'x+1/2,y+1/2,z+1/2'
'-x+1/2,-y+1/2,-z+1/2'
'-y+1/4,x+3/4,z+3/4'
'y+1/4,-x+3/4,-z+3/4'
'-x,-y+1/2,z'
'x,y+1/2,-z'
'y+1/4,-x+1/4,z+1/4'
'-y+1/4,x+1/4,-z+1/4'
loop_
_atom_site_label
_atom_site_type_symbol
_atom_site_fract_x
_atom_site_fract_y
_atom_site_fract_z
_atom_site_occupancy
K1 K 0.0000 0.2500 0.1250 1
Br1 Br 0.0000 0.2500 0.6250 1
N1 N 0.0507 0.3609 0.7891 1
```

Most intense lines, 5° ≤ 2θ ≤ 70°, by angle:
| d (Å) | I_rel | index |
| --- | --- | --- |
| 9.948 | 100 | 0 0 4 |
| 4.974 | 27 | 0 0 8 |
| 3.316 | 33 | 0 0 12 |
| 3.187 | 38 | 1 1 2 |
| 2.903 | 75 | 1 1 6 |
| 2.507 | 17 | 1 1 10 |

=====

[2]
For KNaBr2, a cell relaxed with GGA-PBE gives the theoretical powder diffractogram in this record (Cu Kα (weighted mean of Kα1 and Kα2)).

Cell and atoms:
```
data_KNaBr2
_symmetry_space_group_name_H-M 'F m -3 m'
_symmetry_Int_Tables_number 225
_symmetry_space_group_name_Hall '-F 4 2 3'
_cell_length_a 7.7852
_cell_length_b 7.7852
_cell_length_c 7.7852
_cell_angle_alpha 90.00
_cell_angle_beta 90.00
_cell_angle_gamma 90.00
loop_
_atom_site_label
_atom_site_type_symbol
_atom_site_fract_x
_atom_site_fract_y
_atom_site_fract_z
_atom_site_occupancy
K1 K 0.0000 0.0000 0.0000 1
Na1 Na 0.0000 0.0000 0.5000 1
Br1 Br 0.2500 0.2500 0.2500 1
```

Most intense lines, 5° ≤ 2θ ≤ 70°, by angle:
| d (Å) | I_rel | index |
| --- | --- | --- |
| 3.893 | 23 | 2 0 0 |
| 2.752 | 100 | 2 2 0 |
| 1.946 | 17 | 4 0 0 |
| 1.741 | 10 | 4 2 0 |
| 1.589 | 35 | 4 2 2 |
| 1.376 | 11 | 4 4 0 |

=====

[3]
For KNa2Br3, a cell relaxed with GGA-PBE gives the theoretical powder diffractogram in this record (Cu Kα (weighted mean of Kα1 and Kα2)).

Cell and atoms:
```
data_KNa2Br3
_symmetry_space_group_name_H-M 'I 4/m m m'
_symmetry_Int_Tables_number 139
_symmetry_space_group_name_Hall '-I 4 2'
_cell_length_a 4.6072
_cell_length_b 4.6072
_cell_length_c 18.0701
_cell_angle_alpha 90.00
_cell_angle_beta 90.00
_cell_angle_gamma 90.00
loop_
_atom_site_label
_atom_site_type_symbol
_atom_site_fract_x
_atom_site_fract_y
_atom_site_fract_z
_atom_site_occupancy
K1 K 0.0000 0.0000 0.0000 1
Na1 Na 0.0000 0.0000 0.3322 1
Br1 Br 0.0000 0.0000 0.1742 1
Br2 Br 0.0000 0.0000 0.5000 1
```

Most intense lines, 5° ≤ 2θ ≤ 70°, by angle:
| d (Å) | I_rel | index |
| --- | --- | --- |
| 3.659 | 56 | 1 0 3 |
| 3.258 | 100 | 1 1 0 |
| 3.012 | 39 | 0 0 6 |
| 2.304 | 37 | 2 0 0 |
| 2.211 | 63 | 1 1 6 |
| 1.830 | 34 | 2 0 6 |

=====

[4]
For KNa2Br3, a cell relaxed with GGA-PBE gives the theoretical powder diffractogram in this record (Cu Kα (weighted mean of Kα1 and Kα2)).

Cell and atoms:
```
data_KNa2Br3
_symmetry_space_group_name_H-M 'C m c m'
_symmetry_Int_Tables_number 63
_symmetry_space_group_name_Hall '-C 2c 2'
_cell_length_a 9.8395
_cell_length_b 14.7212
_cell_length_c 6.7446
_cell_angle_alpha 90.00
_cell_angle_beta 90.00
_cell_angle_gamma 90.00
loop_
_atom_site_label
_atom_site_type_symbol
_atom_site_fract_x
_atom_site_fract_y
_atom_site_fract_z
_atom_site_occupancy
K1 K 0.0000 0.2454 0.2500 1
Na1 Na 0.1886 0.0000 0.0000 1
Br1 Br 0.0000 0.0966 0.7500 1
Br2 Br 0.2109 0.3654 0.7500 1
```

Most intense lines, 5° ≤ 2θ ≤ 70°, by angle:
| d (Å) | I_rel | index |
| --- | --- | --- |
| 8.180 | 28 | 1 1 0 |
| 3.680 | 60 | 1 3 1 |
| 3.497 | 100 | 2 2 1 |
| 3.372 | 27 | 0 0 2 |
| 2.486 | 22 | 0 4 2 |
| 2.322 | 23 | 3 1 2 |

=====

[5]
For KNa4Br5, a cell relaxed with GGA-PBE gives the theoretical powder diffractogram in this record (Cu Kα (weighted mean of Kα1 and Kα2)).

Cell and atoms:
```
data_KNa4Br5
_symmetry_space_group_name_H-M 'I 4/m m m'
_symmetry_Int_Tables_number 139
_symmetry_space_group_name_Hall '-I 4 2'
_cell_length_a 4.4010
_cell_length_b 4.4010
_cell_length_c 30.7118
_cell_angle_alpha 90.00
_cell_angle_beta 90.00
_cell_angle_gamma 90.00
loop_
_atom_site_label
_atom_site_type_symbol
_atom_site_fract_x
_atom_site_fract_y
_atom_site_fract_z
_atom_site_occupancy
K1 K 0.0000 0.0000 0.0000 1
Na1 Na 0.0000 0.0000 0.2019 1
Na2 Na 0.0000 0.0000 0.3960 1
Br1 Br 0.0000 0.0000 0.1060 1
Br2 Br 0.0000 0.0000 0.2985 1
Br3 Br 0.0000 0.0000 0.5000 1
```

Most intense lines, 5° ≤ 2θ ≤ 70°, by angle:
| d (Å) | I_rel | index |
| --- | --- | --- |
| 3.577 | 67 | 1 0 5 |
| 3.112 | 100 | 1 1 0 |
| 3.071 | 45 | 0 0 10 |
| 2.200 | 36 | 2 0 0 |
| 2.186 | 67 | 1 1 10 |
| 1.789 | 35 | 2 0 10 |

=====

[6]
For K3NaBr2O6, a cell relaxed with GGA-PBE gives the theoretical powder diffractogram in this record (Cu Kα (weighted mean of Kα1 and Kα2)).

Cell and atoms:
```
data_K3NaBr2O6
_symmetry_space_group_name_H-M 'P -3 m 1'
_symmetry_Int_Tables_number 164
_symmetry_space_group_name_Hall '-P 3 2"'
_cell_length_a 6.0003
_cell_length_b 6.0003
_cell_length_c 7.0474
_cell_angle_alpha 90.00
_cell_angle_beta 90.00
_cell_angle_gamma 120.00
loop_
_atom_site_label
_atom_site_type_symbol
_atom_site_fract_x
_atom_site_fract_y
_atom_site_fract_z
_atom_site_occupancy
K1 K 0.0000 0.0000 0.0000 1
K2 K 0.3333 0.6667 0.6411 1
Na1 Na 0.0000 0.0000 0.5000 1
Br1 Br 0.3333 0.6667 0.1618 1
O1 O 0.1836 0.3672 0.2881 1
```

Most intense lines, 5° ≤ 2θ ≤ 70°, by angle:
| d (Å) | I_rel | index |
| --- | --- | --- |
| 4.182 | 62 | 1 0 1 |
| 3.000 | 98 | 1 1 0 |
| 2.916 | 100 | 0 1 2 |
| 2.091 | 65 | 2 0 2 |
| 1.716 | 37 | 1 2 2 |
| 1.500 | 20 | 2 2 0 |

=====

[7]
For KNaPuBr4, a cell relaxed with GGA-PBE gives the theoretical powder diffractogram in this record (Cu Kα (weighted mean of Kα1 and Kα2)).

Cell and atoms:
```
data_KNaPuBr4
_symmetry_space_group_name_H-M 'I m m a'
_symmetry_Int_Tables_number 74
_symmetry_space_group_name_Hall '-I 2b 2'
_cell_length_a 8.7817
_cell_length_b 8.8270
_cell_length_c 13.8685
_cell_angle_alpha 90.00
_cell_angle_beta 90.00
_cell_angle_gamma 90.00
loop_
_atom_site_label
_atom_site_type_symbol
_atom_site_fract_x
_atom_site_fract_y
_atom_site_fract_z
_atom_site_occupancy
K1 K 0.0000 0.2500 0.1134 1
Na1 Na 0.0000 0.0000 0.5000 1
Pu1 Pu 0.2500 0.2500 0.7500 1
Br1 Br 0.0000 0.0166 0.7319 1
Br2 Br 0.2278 0.2500 0.5330 1
```

Most intense lines, 5° ≤ 2θ ≤ 70°, by angle:
| d (Å) | I_rel | index |
| --- | --- | --- |
| 7.446 | 100 | 0 1 1 |
| 6.934 | 28 | 0 0 2 |
| 3.783 | 51 | 2 1 1 |
| 3.467 | 30 | 0 0 4 |
| 3.113 | 58 | 2 2 0 |
| 2.316 | 57 | 2 2 4 |

=====

[8]
For KNa2Sn2Br7, a cell relaxed with GGA-PBE gives the theoretical powder diffractogram in this record (Cu Kα (weighted mean of Kα1 and Kα2)).

Cell and atoms:
```
data_KNa2Sn2Br7
_symmetry_space_group_name_H-M 'I m m 2'
_symmetry_Int_Tables_number 44
_symmetry_space_group_name_Hall 'I 2 -2'
_cell_length_a 5.9707
_cell_length_b 24.0792
_cell_length_c 6.0264
_cell_angle_alpha 90.00
_cell_angle_beta 90.00
_cell_angle_gamma 90.00
loop_
_atom_site_label
_atom_site_type_symbol
_atom_site_fract_x
_atom_site_fract_y
_atom_site_fract_z
_atom_site_occupancy
K1 K 0.0000 0.0000 0.0000 1
Na1 Na 0.0000 0.2512 0.6828 1
Sn1 Sn 0.0000 0.3776 0.1685 1
Br1 Br 0.0000 0.1222 0.6936 1
Br2 Br 0.0000 0.2542 0.1820 1
Br3 Br 0.0000 0.3776 0.7022 1
Br4 Br 0.0000 0.5000 0.2240 1
```

Most intense lines, 5° ≤ 2θ ≤ 70°, by angle:
| d (Å) | I_rel | index |
| --- | --- | --- |
| 5.846 | 40 | 0 1 1 |
| 3.467 | 36 | 1 4 1 |
| 3.011 | 100 | 0 8 0 |
| 2.985 | 62 | 2 0 0 |
| 2.120 | 78 | 2 8 0 |
| 1.734 | 36 | 2 8 2 |